[1]
# Y3Pt8Rh
Theoretical PXRD pattern, a wavelength of 1.5418 Å. Input: the PBE geometry in Alexandria.
Intensities are scaled so that the largest is 100.

Structural model:
```
data_Y3Pt8Rh
_symmetry_space_group_name_H-M 'R 3 m'
_symmetry_Int_Tables_number 160
_symmetry_space_group_name_Hall 'R 3 -2"'
_cell_length_a 5.3957
_cell_length_b 5.3957
_cell_length_c 26.3792
_cell_angle_alpha 90.00
_cell_angle_beta 90.00
_cell_angle_gamma 120.00
loop_
_atom_site_label
_atom_site_type_symbol
_atom_site_fract_x
_atom_site_fract_y
_atom_site_fract_z
Y1 Y 0.0000 0.0000 0.0000
Y2 Y 0.0000 0.0000 0.1313
Y3 Y 0.0000 0.0000 0.6083
Pt1 Pt 0.0000 0.0000 0.3104
Pt2 Pt 0.0000 0.0000 0.8109
Pt3 Pt 0.9998 0.4999 0.0603
Pt4 Pt 0.0032 0.5016 0.5609
Rh1 Rh 0.0000 0.0000 0.4866
```

Most intense lines, 2θ = 10–90°, low angle first:
d/Å, 2θ/deg, intensity, h k l
4.403, 20.2, 44, 0 0 6
2.696, 33.2, 10, 1 1 0
2.299, 39.2, 100, 2 0 2
2.201, 41.0, 68, 0 0 12
1.906, 47.7, 21, 2 0 8
1.749, 52.3, 13, 0 2 10
1.468, 63.4, 29, 3 0 6
1.349, 69.7, 17, 2 2 0
1.347, 69.8, 14, 0 2 16
1.150, 84.2, 21, 2 2 12

=====

[2]
# RbZnBr3
Theoretical PXRD pattern, a wavelength of 1.5418 Å. Input: the PBE geometry in Alexandria.
Intensities are scaled so that the largest is 100.

Structural model:
```
data_RbZnBr3
_symmetry_space_group_name_H-M 'P -1'
_symmetry_Int_Tables_number 2
_symmetry_space_group_name_Hall '-P 1'
_cell_length_a 5.5631
_cell_length_b 8.2195
_cell_length_c 8.2269
_cell_angle_alpha 76.74
_cell_angle_beta 88.82
_cell_angle_gamma 88.79
loop_
_atom_site_label
_atom_site_type_symbol
_atom_site_fract_x
_atom_site_fract_y
_atom_site_fract_z
Rb1 Rb 0.2486 0.2999 0.3002
Zn1 Zn 0.5004 0.1669 0.8336
Br1 Br 0.2655 0.4144 0.8320
Br2 Br 0.2653 0.8308 0.4141
Br3 Br 0.2724 0.8991 0.8990
```

Most intense lines, 2θ = 10–90°, low angle first:
d/Å, 2θ/deg, intensity, h k l
5.561, 15.9, 16, 1 0 0
3.960, 22.5, 18, 0 2 1
3.272, 27.3, 100, 1 0 2
3.223, 27.7, 59, 1 0 -2
3.189, 28.0, 32, -1 2 1
2.823, 31.7, 20, 1 1 -2
2.781, 32.2, 20, 2 0 0
2.132, 42.4, 19, 2 2 2
2.055, 44.1, 26, 0 4 1
1.881, 48.4, 21, 2 -2 2

=====

[3]
# CuIr3
Theoretical PXRD pattern, a wavelength of 1.5418 Å. Input: the PBE geometry in Alexandria.
Intensities are scaled so that the largest is 100.

Structural model:
```
data_CuIr3
_symmetry_space_group_name_H-M 'C 1 2/m 1'
_symmetry_Int_Tables_number 12
_symmetry_space_group_name_Hall '-C 2y'
_cell_length_a 8.9173
_cell_length_b 2.7353
_cell_length_c 4.6749
_cell_angle_alpha 90.00
_cell_angle_beta 99.92
_cell_angle_gamma 90.00
loop_
_atom_site_label
_atom_site_type_symbol
_atom_site_fract_x
_atom_site_fract_y
_atom_site_fract_z
Cu1 Cu 0.0000 0.0000 0.0000
Ir1 Ir 0.0000 0.5000 0.5000
Ir2 Ir 0.2473 0.0000 0.7519
```

Most intense lines, 2θ = 10–90°, low angle first:
d/Å, 2θ/deg, intensity, h k l
2.223, 40.6, 100, 1 1 1
2.199, 41.1, 97, 4 0 0
1.918, 47.4, 64, 3 1 -1
1.909, 47.6, 32, 2 0 2
1.354, 69.4, 21, 1 1 -3
1.352, 69.6, 20, 5 1 1
1.161, 83.2, 25, 4 2 0
1.154, 83.9, 13, 3 1 3
1.151, 84.1, 19, 0 0 4
1.150, 84.2, 18, 6 0 2